Record 1
Starting from DFT lattice parameters and positions (GGA-PBE), the powder X-ray diffraction pattern of La2Ni4GeSb3 was simulated for CuKα.

Structural model:
```
data_La2Ni4GeSb3
_space_group_name_H-M_alt 'P -4 m 2'
_space_group_IT_number 115
_cell_length_a 4.427
_cell_length_b 4.427
_cell_length_c 10.052
_cell_angle_alpha 90.00
_cell_angle_beta 90.00
_cell_angle_gamma 90.00
loop_
_space_group_symop_operation_xyz
'x,y,z'
'y,-x,-z'
'-x,-y,z'
'-y,x,-z'
'-x,y,z'
'-y,-x,-z'
'x,-y,z'
'y,x,-z'
loop_
_atom_site_label
_atom_site_type_symbol
_atom_site_fract_x
_atom_site_fract_y
_atom_site_fract_z
La1 La 0.000 0.500 0.249
Ni1 Ni 0.000 0.000 0.000
Ni2 Ni 0.000 0.500 0.617
Ni3 Ni 0.500 0.500 0.000
Ge1 Ge 0.000 0.000 0.500
Sb1 Sb 0.000 0.500 0.870
Sb2 Sb 0.500 0.500 0.500
```

Principal peaks in the range 10° ≤ 2θ ≤ 80°, by angle:
hkl, two_theta, intensity
1 0 3, 33.54, 803
1 1 2, 33.73, 1000
2 0 0, 40.77, 770
1 0 5, 49.81, 260
2 1 3, 53.78, 409
2 2 0, 59.02, 261

Record 2
Starting from DFT lattice parameters and positions (GGA-PBE), the powder X-ray diffraction pattern of LaNpGe2O8 was simulated for CuKα.

Structural model:
```
data_LaNpGe2O8
_space_group_name_H-M_alt 'I -4 m 2'
_space_group_IT_number 119
_space_group_name_Hall 'I -4 -2'
_cell_length_a 7.215
_cell_length_b 7.215
_cell_length_c 6.517
_cell_angle_alpha 90.00
_cell_angle_beta 90.00
_cell_angle_gamma 90.00
loop_
_atom_site_label
_atom_site_type_symbol
_atom_site_fract_x
_atom_site_fract_y
_atom_site_fract_z
La1 La 0.000 0.000 0.000
Np1 Np 0.000 0.500 0.250
Ge1 Ge 0.000 0.000 0.500
Ge2 Ge 0.000 0.500 0.750
O1 O 0.000 0.194 0.330
O2 O 0.000 0.325 0.940
```

Principal peaks in the range 10° ≤ 2θ ≤ 80°, by angle:
hkl, two_theta, intensity
1 0 1, 18.35, 366
2 0 0, 24.68, 1000
1 1 2, 32.61, 782
2 2 0, 35.18, 251
3 1 2, 48.72, 636
4 0 0, 50.62, 209

Record 3
Starting from DFT lattice parameters and positions (GGA-PBE), the powder X-ray diffraction pattern of La15Ge9O was simulated for CuKα.

Structural model:
```
data_La15Ge9O
_space_group_name_H-M_alt 'P 63 m c'
_space_group_IT_number 186
_space_group_name_Hall 'P 6c -2c'
_cell_length_a 15.4738
_cell_length_b 15.4738
_cell_length_c 6.9961
_cell_angle_alpha 90.00
_cell_angle_beta 90.00
_cell_angle_gamma 120.00
loop_
_atom_site_label
_atom_site_type_symbol
_atom_site_fract_x
_atom_site_fract_y
_atom_site_fract_z
La1 La 0.0212 0.3445 0.0000
La2 La 0.0815 0.1629 0.2816
La3 La 0.1750 0.5875 0.2639
La4 La 0.2545 0.5089 0.7115
Ge1 Ge 0.0653 0.5326 0.7306
Ge2 Ge 0.1330 0.2660 0.7208
Ge3 Ge 0.1994 0.3988 0.2931
O1 O 0.3333 0.6667 0.4953
```

Principal peaks in the range 10° ≤ 2θ ≤ 80°, by angle:
hkl, two_theta, intensity
1 1 2, 27.99, 284
4 1 0, 30.57, 353
3 0 2, 32.51, 800
4 1 1, 33.21, 1000
3 3 0, 34.79, 308
4 1 3, 50.03, 230

Record 4
Starting from DFT lattice parameters and positions (GGA-PBE), the powder X-ray diffraction pattern of La2Ge3O9 was simulated for CuKα.

Structural model:
```
data_La2Ge3O9
_space_group_name_H-M_alt 'P -1'
_space_group_IT_number 2
_cell_length_a 5.798
_cell_length_b 7.842
_cell_length_c 8.872
_cell_angle_alpha 107.64
_cell_angle_beta 108.47
_cell_angle_gamma 91.59
loop_
_space_group_symop_operation_xyz
'x,y,z'
'-x,-y,-z'
loop_
_atom_site_label
_atom_site_type_symbol
_atom_site_fract_x
_atom_site_fract_y
_atom_site_fract_z
La1 La 0.133 0.200 0.217
La2 La 0.188 0.814 0.414
Ge1 Ge 0.238 0.515 0.003
Ge2 Ge 0.336 0.489 0.660
Ge3 Ge 0.428 0.074 0.853
O1 O 0.010 0.675 0.045
O2 O 0.121 0.012 0.696
O3 O 0.131 0.518 0.779
O4 O 0.171 0.294 0.499
O5 O 0.290 0.993 0.999
O6 O 0.354 0.537 0.235
O7 O 0.403 0.684 0.619
O8 O 0.420 0.969 0.305
O9 O 0.467 0.327 0.954
```

Principal peaks in the range 10° ≤ 2θ ≤ 80°, by angle:
hkl, two_theta, intensity
-1 1 2, 28.12, 985
1 1 1, 28.44, 791
1 -2 1, 28.56, 1000
1 2 -2, 29.26, 712
2 0 -1, 30.86, 460
0 1 -3, 31.92, 852

Copy entry 1 word for word.
Starting from DFT lattice parameters and positions (GGA-PBE), the powder X-ray diffraction pattern of La2Ni4GeSb3 was simulated for CuKα.

Structural model:
```
data_La2Ni4GeSb3
_space_group_name_H-M_alt 'P -4 m 2'
_space_group_IT_number 115
_cell_length_a 4.427
_cell_length_b 4.427
_cell_length_c 10.052
_cell_angle_alpha 90.00
_cell_angle_beta 90.00
_cell_angle_gamma 90.00
loop_
_space_group_symop_operation_xyz
'x,y,z'
'y,-x,-z'
'-x,-y,z'
'-y,x,-z'
'-x,y,z'
'-y,-x,-z'
'x,-y,z'
'y,x,-z'
loop_
_atom_site_label
_atom_site_type_symbol
_atom_site_fract_x
_atom_site_fract_y
_atom_site_fract_z
La1 La 0.000 0.500 0.249
Ni1 Ni 0.000 0.000 0.000
Ni2 Ni 0.000 0.500 0.617
Ni3 Ni 0.500 0.500 0.000
Ge1 Ge 0.000 0.000 0.500
Sb1 Sb 0.000 0.500 0.870
Sb2 Sb 0.500 0.500 0.500
```

Principal peaks in the range 10° ≤ 2θ ≤ 80°, by angle:
hkl, two_theta, intensity
1 0 3, 33.54, 803
1 1 2, 33.73, 1000
2 0 0, 40.77, 770
1 0 5, 49.81, 260
2 1 3, 53.78, 409
2 2 0, 59.02, 261

Copy entry 1 word for word.
Starting from DFT lattice parameters and positions (GGA-PBE), the powder X-ray diffraction pattern of La2Ni4GeSb3 was simulated for CuKα.

Structural model:
```
data_La2Ni4GeSb3
_space_group_name_H-M_alt 'P -4 m 2'
_space_group_IT_number 115
_cell_length_a 4.427
_cell_length_b 4.427
_cell_length_c 10.052
_cell_angle_alpha 90.00
_cell_angle_beta 90.00
_cell_angle_gamma 90.00
loop_
_space_group_symop_operation_xyz
'x,y,z'
'y,-x,-z'
'-x,-y,z'
'-y,x,-z'
'-x,y,z'
'-y,-x,-z'
'x,-y,z'
'y,x,-z'
loop_
_atom_site_label
_atom_site_type_symbol
_atom_site_fract_x
_atom_site_fract_y
_atom_site_fract_z
La1 La 0.000 0.500 0.249
Ni1 Ni 0.000 0.000 0.000
Ni2 Ni 0.000 0.500 0.617
Ni3 Ni 0.500 0.500 0.000
Ge1 Ge 0.000 0.000 0.500
Sb1 Sb 0.000 0.500 0.870
Sb2 Sb 0.500 0.500 0.500
```

Principal peaks in the range 10° ≤ 2θ ≤ 80°, by angle:
hkl, two_theta, intensity
1 0 3, 33.54, 803
1 1 2, 33.73, 1000
2 0 0, 40.77, 770
1 0 5, 49.81, 260
2 1 3, 53.78, 409
2 2 0, 59.02, 261